No. 1
Diffraction record for CePr2SmN4. The XRD peak list is calculated, not measured: it uses DFT lattice parameters and positions (PBE) and CuKα.

Structure:
Unit cell a=6.2662 b=3.6305 c=6.2838 alpha=90.00 beta=109.30 gamma=90.00
Space group P2/m (No. 10)
Symmetry-distinct sites (fractional):
Ce1 0.0000 0.0000 0.0000 [1 per cell]
Pr1 0.0000 0.5000 0.5000 [1 per cell]
Pr2 0.5000 0.0000 0.5000 [1 per cell]
Sm1 0.5000 0.5000 0.0000 [1 per cell]
N1 0.2394 0.5000 0.2342 [2 per cell]
N2 0.2466 0.0000 0.7631 [2 per cell]

Principal peaks in the range 2θ from 10° to 90°, in order of rising 2θ:
h k l, two_theta, d (Å), I (rel.)
0 0 2, 30.2, 2.961, 100
1 1 1, 35.0, 2.567, 50
2 0 -2, 35.1, 2.559, 25
0 2 0, 50.3, 1.815, 35
3 1 -1, 50.4, 1.810, 17
1 1 3, 59.7, 1.548, 23
2 0 -4, 59.8, 1.546, 11
4 0 -2, 59.9, 1.543, 11
2 2 -2, 62.7, 1.481, 13
1 3 1, 84.4, 1.148, 11

---

No. 2
Diffraction record for PuScSeS. The XRD peak list is calculated, not measured: it uses DFT lattice parameters and positions (PBE) and CuKα.

Structure:
Unit cell a=3.8669 b=3.8669 c=19.6298 alpha=90.00 beta=90.00 gamma=120.00
Space group R3m (No. 160, hexagonal axes)
Symmetry-distinct sites (fractional):
Pu1 0.0000 0.0000 0.0000 [3 per cell]
Sc1 0.0000 0.0000 0.5125 [3 per cell]
Se1 0.0000 0.0000 0.7631 [3 per cell]
S1 0.0000 0.0000 0.2498 [3 per cell]

Principal peaks in the range 2θ from 10° to 90°, in order of rising 2θ:
h k l, two_theta, d (Å), I (rel.)
0 0 3, 13.5, 6.543, 48
1 0 1, 27.0, 3.301, 42
0 1 2, 28.2, 3.169, 26
1 0 4, 32.4, 2.766, 100
0 1 5, 35.2, 2.548, 29
0 1 8, 45.8, 1.979, 35
1 1 0, 47.0, 1.933, 36
0 2 4, 58.2, 1.585, 18
1 1 12, 76.2, 1.249, 14
2 1 4, 78.0, 1.226, 16

---

No. 3
Diffraction record for SnC2S2N2. The XRD peak list is calculated, not measured: it uses DFT lattice parameters and positions (PBE) and CuKα.

Structure:
Unit cell a=5.7064 b=5.7201 c=10.7117 alpha=94.75 beta=101.79 gamma=93.36
Space group P-1 (No. 2)
Symmetry-distinct sites (fractional):
Sn1 0.2037 0.1105 0.2399 [2 per cell]
C1 0.2610 0.7999 0.4974 [2 per cell]
C2 0.3842 0.1854 0.8714 [2 per cell]
S1 0.1343 0.2616 0.9067 [2 per cell]
S2 0.2938 0.6713 0.6280 [2 per cell]
N1 0.2354 0.8881 0.3996 [2 per cell]
N2 0.4308 0.8637 0.1539 [2 per cell]

Principal peaks in the range 2θ from 10° to 90°, in order of rising 2θ:
h k l, two_theta, d (Å), I (rel.)
0 1 0, 15.6, 5.683, 90
1 0 -1, 16.4, 5.408, 70
0 0 2, 17.0, 5.215, 90
0 1 -2, 22.0, 4.044, 90
-1 1 1, 22.4, 3.968, 81
1 1 1, 26.4, 3.375, 100
1 0 -3, 27.2, 3.276, 48
0 1 -3, 28.8, 3.104, 43
2 1 0, 37.1, 2.426, 37
1 1 3, 38.4, 2.344, 40